Structure and calculated X-ray powder pattern of Ac4Al3CoO12 (DFT lattice parameters and positions (GGA+U); CuKα).
Lines closer than 0.1° are merged.

Structure:
a b c (Å): 7.7692 7.7692 7.7692
angles (deg): 90.00 90.00 90.00
Space group Im-3m (No. 229)
One atom of each set of equivalent atoms:
Ac (0.2500, 0.2500, 0.2500) x8
Al (0.0000, 0.0000, 0.5000) x6
Co (0.0000, 0.0000, 0.0000) x2
O (0.0000, 0.0000, 0.2516) x12
O (0.0000, 0.2500, 0.5000) x12

Most intense lines, 10° ≤ 2θ ≤ 90°, by angle:
Position (°2θ)  intensity  (hkl)
16.1  1  1 1 0
22.9  57  2 0 0
32.6  100  2 2 0
40.2  36  2 2 2
46.8  29  4 0 0
52.7  28  4 2 0
58.2  40  4 2 2
68.3  18  4 4 0
73.1  14  6 0 0
77.7  18  6 2 0
82.3  13  6 2 2
86.9  6  4 4 4